Record 1
Computed powder diffractogram
Compound: Nd2Er4In
Radiation: Cu Kα, 1.54184 Å
Structure: a crystal structure in Alexandria, relaxed with GGA-PBE
Neutral-atom scattering factors, no anomalous dispersion.

Most intense lines, 2θ from 10° to 80°, by angle:
d [Å]  2θ/deg  I_rel
3.121  28.6  38
3.093  28.9  41
3.000  29.8  54
2.881  31.0  38
2.793  32.1  57
2.778  32.2  100
2.724  32.9  81
2.536  35.4  58
2.455  36.6  41
1.623  56.7  26

Structural model:
Cell: 6.4935 6.2527 10.6775 Å, 90.00 90.00 90.00°
Space group Pmna (No. 53)
Asymmetric unit:
Nd1 0.0000 0.2434 0.0437 [4 per cell]
Er1 0.0000 0.0674 0.3455 [4 per cell]
Er2 0.2500 0.4003 0.7500 [4 per cell]
In1 0.0000 0.5000 0.5000 [2 per cell]

Record 2
Computed powder diffractogram
Compound: YHo3Pt
Radiation: Cu Kα, 1.54184 Å
Structure: a crystal structure in Alexandria, relaxed with GGA-PBE
Neutral-atom scattering factors, no anomalous dispersion.

Most intense lines, 2θ from 10° to 80°, by angle:
d [Å]  2θ/deg  I_rel
4.723  18.8  24
3.861  23.0  32
2.931  30.5  38
2.894  30.9  100
2.510  35.8  19
2.244  40.2  26
2.227  40.5  37
1.925  47.2  29
1.893  48.1  17
1.719  53.3  22

Structural model:
Cell: 7.5736 6.7046 6.0410 Å, 90.00 90.00 90.00°
Space group Pmn2_1 (No. 31)
Asymmetric unit:
Y1 0.0000 0.1423 0.0000 [2 per cell]
Ho1 0.0000 0.8491 0.4885 [2 per cell]
Ho2 0.2464 0.3013 0.4952 [4 per cell]
Pt1 0.0000 0.5019 0.7495 [2 per cell]

Record 3
Computed powder diffractogram
Compound: Pr7Y2
Radiation: Cu Kα, 1.54184 Å
Structure: a crystal structure in Alexandria, relaxed with GGA-PBE
Neutral-atom scattering factors, no anomalous dispersion.

Most intense lines, 2θ from 10° to 80°, by angle:
d [Å]  2θ/deg  I_rel
2.935  30.5  85
2.918  30.6  100
2.783  32.2  22
2.438  36.9  14
2.069  43.7  27
1.755  52.1  18
1.688  54.3  24
1.685  54.5  15
1.534  60.4  29
1.231  77.6  11

Structural model:
Cell: 10.1086 10.1086 3.6055 Å, 90.00 90.00 120.00°
Space group P-62m (No. 189)
Asymmetric unit:
Pr1 0.0000 0.0000 0.0000 [1 per cell]
Pr2 0.0000 0.3608 0.0000 [3 per cell]
Pr3 0.0000 0.6908 0.5000 [3 per cell]
Y1 0.3333 0.6667 0.5000 [2 per cell]

Record 4
Computed powder diffractogram
Compound: Ac4FePb2
Radiation: Cu Kα, 1.54184 Å
Structure: a crystal structure in Alexandria, relaxed with GGA-PBE
Neutral-atom scattering factors, no anomalous dispersion.

Most intense lines, 2θ from 10° to 80°, by angle:
d [Å]  2θ/deg  I_rel
3.734  23.8  24
3.452  25.8  90
3.017  29.6  44
2.986  29.9  26
2.880  31.1  100
2.640  34.0  83
1.987  45.7  55
1.867  48.8  31
1.588  58.1  27
1.567  59.0  34

Structural model:
Cell: 5.2805 5.2805 18.1027 Å, 90.00 90.00 90.00°
Space group I4/mmm (No. 139)
Asymmetric unit:
Ac1 0.0000 0.0000 0.1713 [4 per cell]
Ac2 0.0000 0.5000 0.0000 [4 per cell]
Fe1 0.0000 0.0000 0.0000 [2 per cell]
Pb1 0.0000 0.0000 0.3595 [4 per cell]